(1)
Starting from a structure optimized by DFT (GGA-PBE), the X-ray diffraction stick pattern of TbCoC was simulated for Cu Kα.
Kinematic intensities with the Lorentz-polarization factor, no thermal factor.

Principal peaks in the range 2θ from 10° to 90°, most intense first:
2.521 Å, intensity 100
2.540 Å, intensity 84
2.531 Å, intensity 83
1.466 Å, intensity 35
1.461 Å, intensity 30
1.456 Å, intensity 30

Cell and atoms:
a = 3.5536 Å, b = 3.5780 Å, c = 3.6054 Å
α = 90.00°, β = 90.00°, γ = 90.00°
Space group Pmmm (No. 47)
Unique sites:
Tb  0.0000  0.0000  0.0000 (multiplicity 1)
Co  0.5000  0.5000  0.5000 (multiplicity 1)
C  0.5000  0.5000  0.0000 (multiplicity 1)

***

(2)
Starting from a structure optimized by DFT (GGA-PBE), the X-ray diffraction stick pattern of TbCoC was simulated for Cu Kα.
Kinematic intensities with the Lorentz-polarization factor, no thermal factor.

Principal peaks in the range 2θ from 10° to 90°, most intense first:
2.516 Å, intensity 100
2.564 Å, intensity 48
1.471 Å, intensity 37
3.626 Å, intensity 24
1.813 Å, intensity 20
1.444 Å, intensity 16

Cell and atoms:
a = 3.6257 Å, b = 3.6257 Å, c = 6.9906 Å
α = 90.00°, β = 90.00°, γ = 90.00°
Space group P4_2/mmc (No. 131)
Unique sites:
Tb  0.0000  0.0000  0.2500 (multiplicity 2)
Co  0.5000  0.5000  0.0000 (multiplicity 2)
C  0.0000  0.5000  0.0000 (multiplicity 2)

***

(3)
Starting from a structure optimized by DFT (GGA-PBE), the X-ray diffraction stick pattern of ThCoC2 was simulated for Cu Kα.
Kinematic intensities with the Lorentz-polarization factor, no thermal factor.

Principal peaks in the range 2θ from 10° to 90°, most intense first:
2.639 Å, intensity 100
3.647 Å, intensity 44
2.379 Å, intensity 26
3.038 Å, intensity 23
2.280 Å, intensity 17
1.851 Å, intensity 17

Cell and atoms:
a = 3.8246 Å, b = 4.5601 Å, c = 6.0753 Å
α = 90.00°, β = 90.00°, γ = 90.00°
Space group Amm2 (No. 38)
Unique sites:
Th  0.0000  0.0000  0.0000 (multiplicity 2)
Co  0.5000  0.0000  0.6087 (multiplicity 2)
C  0.5000  0.1550  0.3037 (multiplicity 4)